Entry 1:
Theoretical powder diffraction line list
Compound: Ba4Nd4Ti3MnCu4O22
Radiation: a wavelength of 1.5418 Å
Structure: a cell relaxed with GGA+U
Intensities are scaled so that the largest is 100.

```
data_Ba4Nd4Ti3MnCu4O22
_symmetry_space_group_name_H-M 'P 4 m m'
_symmetry_Int_Tables_number 99
_cell_length_a 5.5572
_cell_length_b 5.5572
_cell_length_c 15.9781
_cell_angle_alpha 90.00
_cell_angle_beta 90.00
_cell_angle_gamma 90.00
loop_
_symmetry_equiv_pos_as_xyz
'x,y,z'
'-y,x,z'
'-x,-y,z'
'y,-x,z'
'-x,y,z'
'y,x,z'
'x,-y,z'
'-y,-x,z'
loop_
_atom_site_label
_atom_site_fract_x
_atom_site_fract_y
_atom_site_fract_z
Ba1 0.0000 0.5000 0.0000
Ba2 0.0000 0.5000 0.4695
Nd1 0.0000 0.5000 0.2355
Nd2 0.0000 0.5000 0.7375
Ti1 0.0000 0.0000 0.6105
Ti2 0.0000 0.0000 0.8620
Ti3 0.5000 0.5000 0.6107
Mn1 0.5000 0.5000 0.8591
Cu1 0.0000 0.0000 0.1280
Cu2 0.0000 0.0000 0.3436
Cu3 0.5000 0.5000 0.1266
Cu4 0.5000 0.5000 0.3433
O1 0.0000 0.0000 0.4942
O2 0.0000 0.0000 0.7373
O3 0.0000 0.0000 0.9776
O4 0.2500 0.2500 0.1398
O5 0.2501 0.2501 0.3323
O6 0.2500 0.2500 0.6241
O7 0.2526 0.2526 0.8482
O8 0.5000 0.5000 0.4950
O9 0.5000 0.5000 0.7381
O10 0.5000 0.5000 0.9763
```

Main lines, low angle first (2θ = 15–90°):
Position (°2θ)	intensity
22.63	16
31.95	100
32.22	48
39.50	26
45.41	11
46.20	32
56.77	16
57.27	37
66.79	13
67.41	10



Entry 2:
Theoretical powder diffraction line list
Compound: BaNd2CuMo4O16
Radiation: a wavelength of 1.5418 Å
Structure: a cell relaxed with GGA+U
Intensities are scaled so that the largest is 100.

```
data_BaNd2CuMo4O16
_symmetry_space_group_name_H-M 'C 1 2/c 1'
_symmetry_Int_Tables_number 15
_cell_length_a 5.3893
_cell_length_b 12.9556
_cell_length_c 19.6220
_cell_angle_alpha 90.00
_cell_angle_beta 91.84
_cell_angle_gamma 90.00
loop_
_symmetry_equiv_pos_as_xyz
'x,y,z'
'-x,-y,-z'
'-x,y,-z+1/2'
'x,-y,z+1/2'
'x+1/2,y+1/2,z'
'-x+1/2,-y+1/2,-z'
'-x+1/2,y+1/2,-z+1/2'
'x+1/2,-y+1/2,z+1/2'
loop_
_atom_site_label
_atom_site_fract_x
_atom_site_fract_y
_atom_site_fract_z
Ba1 0.0000 0.0247 0.2500
Nd1 0.0032 0.1436 0.0326
Cu1 0.0000 0.3124 0.2500
Mo1 0.0072 0.2646 0.6508
Mo2 0.0108 0.4387 0.0952
O1 0.1218 0.4166 0.3209
O2 0.1368 0.1489 0.8222
O3 0.1534 0.3301 0.0450
O4 0.1645 0.2414 0.5703
O5 0.2404 0.0222 0.5377
O6 0.2397 0.4573 0.6093
O7 0.2419 0.2983 0.7150
O8 0.2420 0.3573 0.8622
```

Main lines, low angle first (2θ = 15–90°):
Position (°2θ)	intensity
25.12	75
25.89	74
26.76	48
26.94	58
27.83	86
28.18	79
28.56	100
29.42	87
30.81	44
33.27	68



Entry 3:
Theoretical powder diffraction line list
Compound: Ba4Cu3MoO12
Radiation: a wavelength of 1.5418 Å
Structure: a cell relaxed with GGA+U
Intensities are scaled so that the largest is 100.

```
data_Ba4Cu3MoO12
_symmetry_space_group_name_H-M 'I m -3 m'
_symmetry_Int_Tables_number 229
_symmetry_space_group_name_Hall '-I 4 2 3'
_cell_length_a 8.1176
_cell_length_b 8.1176
_cell_length_c 8.1176
_cell_angle_alpha 90.00
_cell_angle_beta 90.00
_cell_angle_gamma 90.00
loop_
_atom_site_label
_atom_site_fract_x
_atom_site_fract_y
_atom_site_fract_z
Ba1 0.2500 0.2500 0.2500
Cu1 0.0000 0.0000 0.5000
Mo1 0.0000 0.0000 0.0000
O1 0.0000 0.0000 0.2401
O2 0.0000 0.2500 0.5000
```

Main lines, low angle first (2θ = 15–90°):
Position (°2θ)	intensity
21.90	4
31.16	100
38.41	11
44.65	32
50.27	2
55.45	39
64.99	19
73.83	17
78.09	3
82.29	6



Entry 4:
Theoretical powder diffraction line list
Compound: BaNa2V2CuO8
Radiation: a wavelength of 1.5418 Å
Structure: a cell relaxed with GGA+U
Intensities are scaled so that the largest is 100.

```
data_BaNa2V2CuO8
_symmetry_space_group_name_H-M 'C 1 2/c 1'
_symmetry_Int_Tables_number 15
_cell_length_a 9.5004
_cell_length_b 5.8531
_cell_length_c 14.1910
_cell_angle_alpha 90.00
_cell_angle_beta 93.51
_cell_angle_gamma 90.00
loop_
_symmetry_equiv_pos_as_xyz
'x,y,z'
'-x,-y,-z'
'-x,y,-z+1/2'
'x,-y,z+1/2'
'x+1/2,y+1/2,z'
'-x+1/2,-y+1/2,-z'
'-x+1/2,y+1/2,-z+1/2'
'x+1/2,-y+1/2,z+1/2'
loop_
_atom_site_label
_atom_site_fract_x
_atom_site_fract_y
_atom_site_fract_z
Ba1 0.0000 0.1283 0.2500
Na1 0.1590 0.4195 0.5887
V1 0.1795 0.4098 0.8717
Cu1 0.0000 0.0000 0.0000
O1 0.0569 0.1852 0.8931
O2 0.1299 0.3391 0.4229
O3 0.1474 0.1534 0.0839
O4 0.1830 0.4613 0.7526
```

Main lines, low angle first (2θ = 15–90°):
Position (°2θ)	intensity
17.81	40
18.71	26
19.08	32
26.42	38
30.54	80
31.21	52
31.46	41
32.18	100
32.47	34
40.40	31